No. 1
Structure and simulated X-ray powder pattern of Re2Mo (a GGA-PBE-relaxed structure; λ = 1.5418 Å (Cu Kα)).
Lines closer than 0.1° are merged.

Cell and atoms:
```
data_Re2Mo
_space_group_name_H-M_alt 'P n m a'
_space_group_IT_number 62
_cell_length_a 5.4760
_cell_length_b 4.2191
_cell_length_c 7.9984
_cell_angle_alpha 90.00
_cell_angle_beta 90.00
_cell_angle_gamma 90.00
loop_
_space_group_symop_operation_xyz
'x,y,z'
'-x,-y,-z'
'-x+1/2,-y,z+1/2'
'x+1/2,y,-z+1/2'
'x+1/2,-y+1/2,-z+1/2'
'-x+1/2,y+1/2,z+1/2'
'-x,y+1/2,-z'
'x,-y+1/2,z'
loop_
_atom_site_label
_atom_site_fract_x
_atom_site_fract_y
_atom_site_fract_z
_atom_site_occupancy
Re1 0.0451 0.2500 0.2393 1
Re2 0.1583 0.2500 0.5705 1
Mo1 0.1618 0.2500 0.9067 1
```

Top 10 peaks for 10° ≤ 2θ ≤ 80°, sorted by position:
d = 3.084 Å, 29.0°, I = 8, (1 1 1); d = 2.297 Å, 39.2°, I = 52, (2 1 0); d = 2.255 Å, 40.0°, I = 100, (0 1 3); d = 2.208 Å, 40.9°, I = 33, (2 1 1); d = 2.110 Å, 42.9°, I = 35, (0 2 0); d = 1.910 Å, 47.6°, I = 29, (2 0 3); d = 1.542 Å, 60.0°, I = 11, (2 2 2); d = 1.416 Å, 66.0°, I = 22, (2 2 3); d = 1.244 Å, 76.6°, I = 12, (0 3 3); d = 1.238 Å, 77.0°, I = 11, (4 1 2)

No. 2
Structure and simulated X-ray powder pattern of Re3Mo5 (a GGA-PBE-relaxed structure; λ = 1.5418 Å (Cu Kα)).
Lines closer than 0.1° are merged.

Cell and atoms:
```
data_Re3Mo5
_space_group_name_H-M_alt 'P -1'
_space_group_IT_number 2
_cell_length_a 4.9516
_cell_length_b 7.5380
_cell_length_c 7.5386
_cell_angle_alpha 84.86
_cell_angle_beta 72.26
_cell_angle_gamma 72.17
loop_
_space_group_symop_operation_xyz
'x,y,z'
'-x,-y,-z'
loop_
_atom_site_label
_atom_site_fract_x
_atom_site_fract_y
_atom_site_fract_z
_atom_site_occupancy
Re1 0.1644 0.4964 0.1408 1
Re2 0.2506 0.9982 0.0015 1
Re3 0.3346 0.8597 0.5031 1
Mo1 0.0620 0.1657 0.7023 1
Mo2 0.2488 0.1635 0.2987 1
Mo3 0.2496 0.4997 0.5007 1
Mo4 0.2514 0.7009 0.8371 1
Mo5 0.4392 0.2975 0.8345 1
```

Top 10 peaks for 10° ≤ 2θ ≤ 80°, sorted by position:
d = 2.475 Å, 36.3°, I = 48, (2 1 1); d = 2.271 Å, 39.7°, I = 100, (0 3 -1); d = 2.231 Å, 40.4°, I = 83, (-1 1 2); d = 2.225 Å, 40.5°, I = 92, (2 0 2); d = 2.215 Å, 40.7°, I = 83, (1 -2 2); d = 2.200 Å, 41.0°, I = 84, (1 3 -1); d = 2.194 Å, 41.1°, I = 53, (2 2 2); d = 2.173 Å, 41.6°, I = 86, (1 3 2); d = 2.061 Å, 43.9°, I = 43, (2 1 -1); d = 1.742 Å, 52.5°, I = 63, (2 1 -2)